# 1
Calculated XRD peak list of SiAg5O4 for Cu Kα (weighted mean of Kα1 and Kα2), from the PBE geometry in Alexandria.
Intensities are scaled so that the largest is 100.

Most intense lines, 15 to 90 degrees two-theta, low angle first:
| d [Å] | I (rel.) |
| --- | --- |
| 5.416 | 15 |
| 3.190 | 22 |
| 2.607 | 100 |
| 2.595 | 63 |
| 2.562 | 44 |
| 2.147 | 14 |
| 2.018 | 25 |
| 1.997 | 18 |
| 1.849 | 16 |
| 1.828 | 14 |
| 1.361 | 14 |
| 1.355 | 12 |

Structure:
Cell: 9.081 10.247 6.380 Å, 90.00 90.00 90.00°
Positions (direct):
1 Si 0.236 0.120 0.000
2 Si 0.264 0.620 0.500
3 Si 0.736 0.380 0.500
4 Si 0.764 0.880 0.000
5 Ag 0.065 0.379 0.221
6 Ag 0.065 0.379 0.779
7 Ag 0.110 0.877 0.264
8 Ag 0.110 0.877 0.736
9 Ag 0.210 0.587 0.000
10 Ag 0.290 0.087 0.500
11 Ag 0.390 0.377 0.236
12 Ag 0.390 0.377 0.764
13 Ag 0.435 0.879 0.279
14 Ag 0.435 0.879 0.721
15 Ag 0.565 0.121 0.279
16 Ag 0.565 0.121 0.721
17 Ag 0.610 0.623 0.236
18 Ag 0.610 0.623 0.764
19 Ag 0.710 0.913 0.500
20 Ag 0.790 0.413 0.000
21 Ag 0.890 0.123 0.264
22 Ag 0.890 0.123 0.736
23 Ag 0.935 0.621 0.221
24 Ag 0.935 0.621 0.779
25 O 0.101 0.697 0.500
26 O 0.146 0.160 0.217
27 O 0.146 0.160 0.783
28 O 0.240 0.458 0.500
29 O 0.260 0.958 0.000
30 O 0.354 0.660 0.283
31 O 0.354 0.660 0.717
32 O 0.399 0.197 0.000
33 O 0.601 0.803 0.000
34 O 0.646 0.340 0.283
35 O 0.646 0.340 0.717
36 O 0.740 0.042 0.000
37 O 0.760 0.542 0.500
38 O 0.854 0.840 0.217
39 O 0.854 0.840 0.783
40 O 0.899 0.303 0.500

=====

# 2
Calculated XRD peak list of Zn6Ag3Pd for Cu Kα (weighted mean of Kα1 and Kα2), from the PBE geometry in Alexandria.
Intensities are scaled so that the largest is 100.

Most intense lines, 15 to 90 degrees two-theta, low angle first:
| d [Å] | I (rel.) |
| --- | --- |
| 2.491 | 13 |
| 2.463 | 14 |
| 2.392 | 37 |
| 2.252 | 67 |
| 2.180 | 100 |
| 2.161 | 97 |
| 2.113 | 56 |
| 1.640 | 22 |
| 1.448 | 14 |
| 1.286 | 17 |
| 1.282 | 17 |
| 1.218 | 16 |

Structure:
Cell: 7.465 4.505 9.972 Å, 90.00 111.46 90.00°
Positions (direct):
1 Zn 0.002 0.250 0.167
2 Zn 0.003 0.750 0.323
3 Zn 0.198 0.750 0.141
4 Zn 0.224 0.250 0.472
5 Zn 0.391 0.750 0.929
6 Zn 0.415 0.250 0.286
7 Zn 0.585 0.750 0.714
8 Zn 0.609 0.250 0.071
9 Zn 0.776 0.750 0.528
10 Zn 0.802 0.250 0.859
11 Zn 0.997 0.250 0.677
12 Zn 0.998 0.750 0.833
13 Ag 0.173 0.750 0.621
14 Ag 0.208 0.250 0.981
15 Ag 0.407 0.250 0.773
16 Ag 0.593 0.750 0.227
17 Ag 0.792 0.750 0.019
18 Ag 0.827 0.250 0.379
19 Pd 0.386 0.750 0.425
20 Pd 0.614 0.250 0.575

=====

# 3
Calculated XRD peak list of LaNbH for Cu Kα (weighted mean of Kα1 and Kα2), from the PBE geometry in Alexandria.
Intensities are scaled so that the largest is 100.

Most intense lines, 15 to 90 degrees two-theta, low angle first:
| d [Å] | I (rel.) |
| --- | --- |
| 3.025 | 73 |
| 2.624 | 99 |
| 2.606 | 100 |
| 2.522 | 44 |
| 1.952 | 21 |
| 1.923 | 20 |
| 1.662 | 25 |
| 1.649 | 24 |
| 1.529 | 19 |
| 1.478 | 17 |
| 1.469 | 16 |
| 1.450 | 16 |

Structure:
Cell: 3.910 3.544 3.968 Å, 90.00 100.36 90.00°
Positions (direct):
1 La 0.000 0.000 0.000
2 Nb 0.500 0.500 0.500
3 H 0.500 0.500 0.000

=====

# 4
Calculated XRD peak list of SrBClF4 for Cu Kα (weighted mean of Kα1 and Kα2), from the PBE geometry in Alexandria.
Intensities are scaled so that the largest is 100.

Most intense lines, 15 to 90 degrees two-theta, low angle first:
| d [Å] | I (rel.) |
| --- | --- |
| 4.899 | 29 |
| 4.766 | 34 |
| 3.652 | 100 |
| 3.546 | 25 |
| 3.331 | 31 |
| 2.988 | 64 |
| 2.726 | 27 |
| 2.513 | 23 |
| 2.271 | 26 |
| 2.221 | 24 |
| 1.953 | 32 |
| 1.875 | 24 |

Structure:
Cell: 6.240 6.240 6.881 Å, 101.69 101.69 71.65°
Positions (direct):
1 Sr 0.216 0.216 0.159
2 Sr 0.784 0.784 0.841
3 B 0.377 0.377 0.745
4 B 0.623 0.623 0.255
5 Cl 0.042 0.042 0.765
6 Cl 0.958 0.958 0.235
7 F 0.180 0.495 0.843
8 F 0.308 0.308 0.540
9 F 0.482 0.482 0.233
10 F 0.495 0.180 0.843
11 F 0.505 0.820 0.157
12 F 0.518 0.518 0.767
13 F 0.692 0.692 0.460
14 F 0.820 0.505 0.157

=====

# 5
Calculated XRD peak list of CsIn4Sn2 for Cu Kα (weighted mean of Kα1 and Kα2), from the PBE geometry in Alexandria.
Intensities are scaled so that the largest is 100.

Most intense lines, 15 to 90 degrees two-theta, low angle first:
| d [Å] | I (rel.) |
| --- | --- |
| 3.912 | 15 |
| 3.234 | 13 |
| 3.097 | 49 |
| 2.863 | 17 |
| 2.679 | 100 |
| 2.583 | 12 |
| 2.466 | 30 |
| 2.063 | 23 |
| 2.026 | 14 |
| 1.616 | 14 |
| 1.547 | 19 |
| 1.502 | 13 |

Structure:
Cell: 10.183 10.183 10.183 Å, 30.51 30.51 30.51°
Positions (direct):
1 Cs 0.000 0.000 0.000
2 In 0.140 0.140 0.140
3 In 0.445 0.445 0.445
4 In 0.555 0.555 0.555
5 In 0.860 0.860 0.860
6 Sn 0.245 0.245 0.245
7 Sn 0.755 0.755 0.755

=====

# 6
Calculated XRD peak list of RuC for Cu Kα (weighted mean of Kα1 and Kα2), from the PBE geometry in Alexandria.
Intensities are scaled so that the largest is 100.

Most intense lines, 15 to 90 degrees two-theta, low angle first:
| d [Å] | I (rel.) |
| --- | --- |
| 2.674 | 35 |
| 2.496 | 100 |
| 1.995 | 35 |
| 1.599 | 28 |
| 1.507 | 26 |
| 1.411 | 11 |
| 1.337 | 3 |
| 1.248 | 12 |
| 1.228 | 21 |
| 1.111 | 7 |

Structure:
Cell: 2.821 2.821 5.349 Å, 90.00 90.00 90.00°
Positions (direct):
1 Ru 0.000 0.000 0.000
2 Ru 0.500 0.500 0.500
3 C 0.000 0.000 0.369
4 C 0.500 0.500 0.869

=====

# 7
Calculated XRD peak list of MgZnI for Cu Kα (weighted mean of Kα1 and Kα2), from the PBE geometry in Alexandria.
Intensities are scaled so that the largest is 100.

Most intense lines, 15 to 90 degrees two-theta, low angle first:
| d [Å] | I (rel.) |
| --- | --- |
| 3.599 | 64 |
| 3.561 | 19 |
| 3.430 | 88 |
| 3.194 | 31 |
| 2.749 | 20 |
| 2.732 | 100 |
| 2.389 | 39 |
| 2.049 | 20 |
| 2.044 | 32 |
| 1.827 | 22 |
| 1.781 | 21 |
| 1.555 | 20 |

Structure:
Cell: 12.777 4.097 7.199 Å, 90.00 90.00 90.00°
Positions (direct):
1 Mg 0.000 0.000 0.000
2 Mg 0.000 0.500 0.500
3 Mg 0.500 0.000 0.207
4 Mg 0.500 0.500 0.707
5 Zn 0.110 0.000 0.329
6 Zn 0.110 0.500 0.829
7 Zn 0.890 0.000 0.329
8 Zn 0.890 0.500 0.829
9 I 0.354 0.000 0.875
10 I 0.354 0.500 0.375
11 I 0.646 0.000 0.875
12 I 0.646 0.500 0.375

=====

# 8
Calculated XRD peak list of KHg2GeSe4 for Cu Kα (weighted mean of Kα1 and Kα2), from the PBE geometry in Alexandria.
Intensities are scaled so that the largest is 100.

Most intense lines, 15 to 90 degrees two-theta, low angle first:
| d [Å] | I (rel.) |
| --- | --- |
| 5.651 | 11 |
| 5.276 | 25 |
| 4.327 | 24 |
| 3.731 | 17 |
| 3.346 | 100 |
| 2.645 | 20 |
| 2.631 | 20 |
| 2.363 | 10 |
| 2.074 | 28 |
| 2.069 | 26 |
| 2.002 | 11 |
| 1.872 | 28 |

Structure:
Cell: 6.834 6.813 7.462 Å, 56.99 56.72 66.29°
Positions (direct):
1 K 0.000 0.000 0.000
2 Hg 0.258 0.258 0.242
3 Hg 0.758 0.758 0.742
4 Ge 0.500 0.500 0.500
5 Se 0.153 0.533 0.847
6 Se 0.467 0.844 0.156
7 Se 0.533 0.153 0.467
8 Se 0.844 0.467 0.533

=====

# 9
Calculated XRD peak list of Ce2MgP3Pt4 for Cu Kα (weighted mean of Kα1 and Kα2), from the PBE geometry in Alexandria.
Intensities are scaled so that the largest is 100.

Most intense lines, 15 to 90 degrees two-theta, low angle first:
| d [Å] | I (rel.) |
| --- | --- |
| 3.542 | 26 |
| 3.260 | 37 |
| 2.814 | 45 |
| 2.688 | 33 |
| 2.558 | 100 |
| 2.064 | 53 |
| 1.965 | 22 |
| 1.889 | 28 |
| 1.783 | 16 |
| 1.459 | 18 |
| 1.394 | 21 |
| 1.268 | 22 |

Structure:
Cell: 4.127 4.127 10.626 Å, 90.00 90.00 90.00°
Positions (direct):
1 Ce 0.000 0.500 0.234
2 Ce 0.500 0.000 0.766
3 Mg 0.000 0.000 0.500
4 P 0.000 0.500 0.867
5 P 0.500 0.000 0.133
6 P 0.500 0.500 0.500
7 Pt 0.000 0.000 0.000
8 Pt 0.000 0.500 0.647
9 Pt 0.500 0.000 0.353
10 Pt 0.500 0.500 0.000

=====

# 10
Calculated XRD peak list of SrSiSe2O8 for Cu Kα (weighted mean of Kα1 and Kα2), from the PBE geometry in Alexandria.
Intensities are scaled so that the largest is 100.

Most intense lines, 15 to 90 degrees two-theta, low angle first:
| d [Å] | I (rel.) |
| --- | --- |
| 4.324 | 45 |
| 3.407 | 92 |
| 3.308 | 100 |
| 3.015 | 49 |
| 2.637 | 62 |
| 2.523 | 42 |
| 2.455 | 23 |
| 2.216 | 25 |
| 2.176 | 28 |
| 2.027 | 54 |
| 1.935 | 21 |
| 1.647 | 27 |

Structure:
Cell: 5.280 5.280 7.350 Å, 112.00 112.00 57.08°
Positions (direct):
1 Sr 0.000 0.000 0.000
2 Si 0.500 0.500 0.500
3 Se 0.180 0.180 0.668
4 Se 0.820 0.820 0.332
5 O 0.200 0.708 0.306
6 O 0.292 0.800 0.694
7 O 0.293 0.293 0.430
8 O 0.329 0.329 0.898
9 O 0.671 0.671 0.102
10 O 0.707 0.707 0.570
11 O 0.708 0.200 0.306
12 O 0.800 0.292 0.694

=====

# 11
Calculated XRD peak list of Rb2ZnCuI6 for Cu Kα (weighted mean of Kα1 and Kα2), from the PBE geometry in Alexandria.
Intensities are scaled so that the largest is 100.

Most intense lines, 15 to 90 degrees two-theta, low angle first:
| d [Å] | I (rel.) |
| --- | --- |
| 5.846 | 18 |
| 3.564 | 10 |
| 3.390 | 100 |
| 2.963 | 30 |
| 2.923 | 65 |
| 2.081 | 40 |
| 2.067 | 22 |
| 1.983 | 10 |
| 1.782 | 9 |
| 1.765 | 24 |
| 1.695 | 19 |
| 1.196 | 9 |

Structure:
Cell: 8.324 8.324 8.324 Å, 120.45 120.45 89.23°
Positions (direct):
1 Rb 0.250 0.750 0.500
2 Rb 0.750 0.250 0.500
3 Zn 0.000 0.000 0.000
4 Cu 0.500 0.500 0.000
5 I 0.215 0.215 0.000
6 I 0.273 0.273 0.545
7 I 0.273 0.727 0.000
8 I 0.727 0.273 0.000
9 I 0.727 0.727 0.455
10 I 0.785 0.785 0.000

=====

# 12
Calculated XRD peak list of Cu8GeSe6 for Cu Kα (weighted mean of Kα1 and Kα2), from the PBE geometry in Alexandria.
Intensities are scaled so that the largest is 100.

Most intense lines, 15 to 90 degrees two-theta, low angle first:
| d [Å] | I (rel.) |
| --- | --- |
| 5.676 | 24 |
| 3.144 | 38 |
| 3.127 | 100 |
| 3.113 | 51 |
| 2.655 | 34 |
| 2.649 | 23 |
| 2.171 | 23 |
| 2.161 | 40 |
| 1.887 | 43 |
| 1.877 | 58 |
| 1.871 | 58 |
| 1.868 | 88 |

Structure:
Cell: 7.474 7.474 11.628 Å, 90.16 90.16 119.69°
Positions (direct):
1 Cu 0.019 0.529 0.755
2 Cu 0.024 0.976 0.500
3 Cu 0.031 0.982 0.736
4 Cu 0.131 0.316 0.621
5 Cu 0.316 0.131 0.121
6 Cu 0.317 0.695 0.123
7 Cu 0.463 0.984 0.738
8 Cu 0.465 0.978 0.501
9 Cu 0.529 0.019 0.255
10 Cu 0.695 0.317 0.623
11 Cu 0.697 0.880 0.618
12 Cu 0.880 0.697 0.118
13 Cu 0.976 0.024 0.000
14 Cu 0.978 0.465 0.001
15 Cu 0.982 0.031 0.236
16 Cu 0.984 0.463 0.238
17 Ge 0.511 0.516 0.381
18 Ge 0.516 0.511 0.881
19 Se 0.152 0.318 0.837
20 Se 0.162 0.807 0.625
21 Se 0.180 0.843 0.986
22 Se 0.316 0.682 0.337
23 Se 0.318 0.152 0.337
24 Se 0.503 0.506 0.085
25 Se 0.506 0.503 0.585
26 Se 0.682 0.316 0.837
27 Se 0.694 0.871 0.832
28 Se 0.807 0.162 0.125
29 Se 0.843 0.180 0.486
30 Se 0.871 0.694 0.332